For LiFe3O3F4, a crystal structure in Alexandria, relaxed with GGA+U gives the calculated powder diffractogram in this record (λ = 1.5418 Å (Cu Kα)).
Kinematic intensities with the Lorentz-polarization factor, no thermal factor.

The 12 most intense peaks (5 to 70 degrees two-theta), by angle:
2theta  I/Imax  index
17.82  75  1 0 1
27.68  100  0 2 1
29.00  32  0 1 2
35.01  23  2 1 1
36.82  25  3 0 0
42.13  50  1 2 2
42.78  15  2 2 0
46.69  11  1 3 1
55.37  38  0 3 3
56.43  16  3 2 1
61.60  23  2 3 2
66.33  14  3 3 0

Atomic structure:
```
data_LiFe3O3F4
_space_group_name_H-M_alt 'R 3 m'
_space_group_IT_number 160
_space_group_name_Hall 'R 3 -2"'
_cell_length_a 8.4553
_cell_length_b 8.4553
_cell_length_c 6.7865
_cell_angle_alpha 90.00
_cell_angle_beta 90.00
_cell_angle_gamma 120.00
loop_
_atom_site_label
_atom_site_type_symbol
_atom_site_fract_x
_atom_site_fract_y
_atom_site_fract_z
_atom_site_occupancy
Li1 Li 0.0000 0.0000 0.0000 1
Fe1 Fe 0.2080 0.4160 0.2281 1
O1 O 0.0801 0.5401 0.1235 1
F1 F 0.0000 0.0000 0.7220 1
F2 F 0.0878 0.5439 0.6894 1
```